Structure and computed powder diffraction line list of CsTl2Pb2 (the GGA-PBE geometry in Alexandria; CuKα).
Peak positions follow from Bragg's law for the DFT cell and can differ from measured ones.

Largest 10 diffraction maxima, sorted by position, 5 to 70 degrees two-theta:
| 2θ (°) | d [Å] | I (rel.) |
| --- | --- | --- |
| 14.45 | 6.130 | 89 |
| 25.83 | 3.449 | 100 |
| 26.68 | 3.341 | 58 |
| 28.26 | 3.158 | 60 |
| 30.10 | 2.969 | 23 |
| 34.67 | 2.587 | 41 |
| 34.81 | 2.577 | 40 |
| 35.09 | 2.557 | 25 |
| 35.71 | 2.514 | 60 |
| 36.02 | 2.494 | 28 |

Structural model:
```
10
Lattice="7.5841 0.0000 0.0000 3.7673 6.6828 0.0000 3.7541 -0.0012 8.3038" Properties=species:S:1:pos:R:3 pbc="T T T"
Cs 2.8289 1.6685 2.0810
Cs 12.2766 5.0132 6.2229
Tl 4.7146 1.0508 6.2313
Tl 6.6242 4.3780 2.0650
Tl 8.4813 2.3037 6.2388
Tl 10.3909 5.6309 2.0725
Pb 8.4684 5.0224 8.0157
Pb 8.5008 5.0183 4.4460
Pb 6.6047 1.6634 3.8579
Pb 6.6371 1.6593 0.2882
```